Starting from the GGA-PBE geometry in the Materials Project, the powder XRD pattern of ErB4Ir4 was simulated for λ = 1.5418 Å (Cu Kα).
No peak broadening, texture or thermal motion is included.

Cell and atoms:
a b c (Å): 5.403 5.403 7.462
angles (deg): 90.00 90.00 90.00
Space group P4_2/nmc (No. 137, origin choice 2)
Symmetry-distinct sites (fractional):
Er 0.250 0.750 0.250 [2 per cell]
B 0.077 0.250 0.097 [8 per cell]
Ir 0.001 0.750 0.605 [8 per cell]

The 10 most intense peaks (2θ = 15–90°), by angle:
2theta  I (rel.)
29.08  58
35.34  100
39.19  75
39.90  59
44.68  43
47.61  24
69.61  18
70.57  29
72.33  20
80.55  21


Starting from the GGA-PBE geometry in the Materials Project, the powder XRD pattern of ErB2Ir3 was simulated for λ = 1.5418 Å (Cu Kα).
No peak broadening, texture or thermal motion is included.

Cell and atoms:
a b c (Å): 5.4635 5.4635 3.1361
angles (deg): 90.00 90.00 120.00
Space group P6/mmm (No. 191)
Symmetry-distinct sites (fractional):
Er 0.0000 0.0000 0.0000 [1 per cell]
B 0.3333 0.6667 0.0000 [2 per cell]
Ir 0.0000 0.5000 0.5000 [3 per cell]

The 10 most intense peaks (2θ = 15–90°), by angle:
2theta  I (rel.)
28.46  20
34.31  60
38.04  100
43.96  35
48.18  33
59.50  25
68.72  19
72.29  31
79.11  11
81.34  11


Starting from the GGA-PBE geometry in the Materials Project, the powder XRD pattern of ErB4Mo was simulated for λ = 1.5418 Å (Cu Kα).
No peak broadening, texture or thermal motion is included.

Cell and atoms:
a b c (Å): 6.007 11.618 3.606
angles (deg): 90.00 90.00 90.00
Space group Pbam (No. 55)
Symmetry-distinct sites (fractional):
Er 0.127 0.150 0.000 [4 per cell]
B 0.024 0.694 0.500 [4 per cell]
B 0.115 0.547 0.500 [4 per cell]
B 0.132 0.968 0.500 [4 per cell]
B 0.213 0.813 0.500 [4 per cell]
Mo 0.130 0.416 0.000 [4 per cell]

The 10 most intense peaks (2θ = 15–90°), by angle:
2theta  I (rel.)
24.69  81
27.40  26
30.76  82
34.29  21
37.21  29
37.91  21
39.83  100
42.71  28
45.77  29
60.42  24


Starting from the GGA-PBE geometry in the Materials Project, the powder XRD pattern of ErB3Mo was simulated for λ = 1.5418 Å (Cu Kα).
No peak broadening, texture or thermal motion is included.

Cell and atoms:
a b c (Å): 5.418 3.159 6.816
angles (deg): 90.00 101.72 90.00
Space group P2_1/m (No. 11)
Symmetry-distinct sites (fractional):
Er 0.177 0.250 0.210 [2 per cell]
B 0.084 0.750 0.493 [2 per cell]
B 0.412 0.750 0.495 [2 per cell]
B 0.418 0.750 0.976 [2 per cell]
Mo 0.311 0.250 0.721 [2 per cell]

The 10 most intense peaks (2θ = 15–90°), by angle:
2theta  I (rel.)
19.14  17
26.71  74
33.01  100
33.76  53
37.03  24
38.85  26
39.01  27
40.61  70
45.20  34
59.01  23


Starting from the GGA-PBE geometry in the Materials Project, the powder XRD pattern of Na2Er2B2TeO10 was simulated for λ = 1.5418 Å (Cu Kα).
No peak broadening, texture or thermal motion is included.

Cell and atoms:
a b c (Å): 6.349 9.976 6.757
angles (deg): 90.00 103.96 90.00
Space group P2_1/c (No. 14)
Symmetry-distinct sites (fractional):
Na 0.085 0.111 0.167 [4 per cell]
Er 0.373 0.666 0.976 [4 per cell]
B 0.163 0.100 0.627 [4 per cell]
Te 0.500 0.000 0.000 [2 per cell]
O 0.021 0.671 0.945 [4 per cell]
O 0.210 0.063 0.836 [4 per cell]
O 0.302 0.062 0.508 [4 per cell]
O 0.338 0.617 0.636 [4 per cell]
O 0.497 0.151 0.179 [4 per cell]

The 10 most intense peaks (2θ = 15–90°), by angle:
2theta  I (rel.)
16.91  63
27.20  63
27.56  42
28.47  26
30.13  100
30.36  61
32.03  61
34.14  35
49.08  27
49.92  33


Starting from the GGA-PBE geometry in the Materials Project, the powder XRD pattern of Er2Ni21B6 was simulated for λ = 1.5418 Å (Cu Kα).
No peak broadening, texture or thermal motion is included.

Cell and atoms:
a b c (Å): 10.638 10.638 10.638
angles (deg): 90.00 90.00 90.00
Space group Fm-3m (No. 225)
Symmetry-distinct sites (fractional):
Er 0.250 0.250 0.250 [8 per cell]
Ni 0.000 0.000 0.000 [4 per cell]
Ni 0.000 0.168 0.168 [48 per cell]
Ni 0.112 0.112 0.388 [32 per cell]
B 0.000 0.000 0.270 [24 per cell]

The 10 most intense peaks (2θ = 15–90°), by angle:
2theta  I (rel.)
16.67  15
23.65  16
37.82  75
41.59  67
44.24  100
48.40  35
50.77  25
57.46  21
73.39  22
75.89  39


Starting from the GGA-PBE geometry in the Materials Project, the powder XRD pattern of Er3Ni19B10 was simulated for λ = 1.5418 Å (Cu Kα).
No peak broadening, texture or thermal motion is included.

Cell and atoms:
a b c (Å): 13.105 8.669 5.752
angles (deg): 90.00 91.31 90.00
Space group C2/m (No. 12)
Symmetry-distinct sites (fractional):
Er 0.000 0.000 0.000 [2 per cell]
Er 0.125 0.500 0.384 [4 per cell]
Ni 0.000 0.000 0.500 [2 per cell]
Ni 0.030 0.260 0.698 [8 per cell]
Ni 0.122 0.500 0.872 [4 per cell]
Ni 0.127 0.249 0.073 [8 per cell]
Ni 0.163 0.000 0.704 [4 per cell]
Ni 0.182 0.000 0.271 [4 per cell]
Ni 0.219 0.264 0.697 [8 per cell]
B 0.000 0.385 0.000 [4 per cell]
B 0.118 0.183 0.430 [8 per cell]
B 0.246 0.104 0.975 [8 per cell]

The 10 most intense peaks (2θ = 15–90°), by angle:
2theta  I (rel.)
35.80  50
37.54  41
38.08  41
38.52  60
40.33  95
41.68  100
46.54  38
46.80  38
47.43  47
49.01  44


Starting from the GGA-PBE geometry in the Materials Project, the powder XRD pattern of Er4NiB13 was simulated for λ = 1.5418 Å (Cu Kα).
No peak broadening, texture or thermal motion is included.

Cell and atoms:
a b c (Å): 7.282 7.282 6.845
angles (deg): 90.00 90.00 90.00
Space group P4/mnc (No. 128)
Symmetry-distinct sites (fractional):
Er 0.180 0.315 0.000 [8 per cell]
Ni 0.000 0.000 0.500 [2 per cell]
B 0.000 0.000 0.000 [2 per cell]
B 0.040 0.829 0.243 [16 per cell]
B 0.092 0.592 0.250 [8 per cell]

The 10 most intense peaks (2θ = 15–90°), by angle:
2theta  I (rel.)
24.45  39
26.04  59
27.39  97
36.02  39
38.15  100
44.01  22
47.59  28
51.76  37
58.84  40
77.70  23